[1]
Diffraction record for Te8Mo3W. The powder diffraction line list is simulated, not measured: it uses the GGA-PBE geometry in the Materials Project and Cu Kα.

Top 6 peaks for 10° ≤ 2θ ≤ 90°, sorted by position:
11.0°, rel. 84, (0 0 5); 29.0°, rel. 45, (1 0 0); 34.2°, rel. 100, (1 0 8); 41.4°, rel. 68, (1 0 13); 43.1°, rel. 20, (1 0 14); 51.4°, rel. 41, (1 1 0)

Crystal structure
a b c (Å): 3.557 3.557 40.077
angles (deg): 90.00 90.00 120.00
Fractional coordinates of all 12 atoms:
Te: 0.000 0.000 0.000
Te: 0.000 0.000 0.090
Te: 0.000 0.000 0.376
Te: 0.000 0.000 0.466
Te: 0.333 0.667 0.188
Te: 0.333 0.667 0.278
Te: 0.333 0.667 0.812
Te: 0.333 0.667 0.903
Mo: 0.000 0.000 0.233
Mo: 0.000 0.000 0.857
Mo: 0.333 0.667 0.045
W: 0.333 0.667 0.421



[2]
Diffraction record for Te6MoW2. The powder diffraction line list is simulated, not measured: it uses the GGA-PBE geometry in the Materials Project and Cu Kα.

Top 6 peaks for 10° ≤ 2θ ≤ 90°, sorted by position:
10.9°, rel. 100, (0 0 4); 29.0°, rel. 39, (1 0 0); 33.5°, rel. 54, (1 0 6); 34.9°, rel. 70, (0 1 7); 42.3°, rel. 55, (0 1 11); 51.4°, rel. 42, (1 1 0)

Crystal structure
a b c (Å): 3.554 3.554 32.584
angles (deg): 90.00 90.00 120.00
Fractional coordinates of all 9 atoms:
Te: 0.000 0.000 0.000
Te: 0.000 0.000 0.111
Te: 0.000 0.000 0.463
Te: 0.000 0.000 0.574
Te: 0.667 0.333 0.231
Te: 0.667 0.333 0.343
Mo: 0.667 0.333 0.056
W: 0.000 0.000 0.287
W: 0.667 0.333 0.518



[3]
Diffraction record for Te4MoW. The powder diffraction line list is simulated, not measured: it uses the GGA-PBE geometry in the Materials Project and Cu Kα.

Top 6 peaks for 10° ≤ 2θ ≤ 90°, sorted by position:
11.0°, rel. 93, (0 0 5); 29.0°, rel. 45, (1 0 0); 34.1°, rel. 100, (1 0 8); 41.4°, rel. 68, (1 0 13); 43.1°, rel. 21, (0 1 14); 51.3°, rel. 41, (1 1 0)

Crystal structure
a b c (Å): 3.560 3.560 40.104
angles (deg): 90.00 90.00 120.00
Fractional coordinates of all 12 atoms:
Te: 0.000 0.000 0.000
Te: 0.000 0.000 0.090
Te: 0.000 0.000 0.376
Te: 0.000 0.000 0.466
Te: 0.667 0.333 0.188
Te: 0.667 0.333 0.278
Te: 0.667 0.333 0.563
Te: 0.667 0.333 0.654
Mo: 0.667 0.333 0.045
Mo: 0.667 0.333 0.421
W: 0.000 0.000 0.233
W: 0.000 0.000 0.609



[4]
Diffraction record for Te6Mo2W. The powder diffraction line list is simulated, not measured: it uses the GGA-PBE geometry in the Materials Project and Cu Kα.

Top 6 peaks for 10° ≤ 2θ ≤ 90°, sorted by position:
10.9°, rel. 100, (0 0 4); 29.0°, rel. 45, (1 0 0); 33.5°, rel. 58, (1 0 6); 35.0°, rel. 77, (0 1 7); 42.4°, rel. 63, (0 1 11); 51.5°, rel. 47, (1 1 0)

Crystal structure
a b c (Å): 3.552 3.552 32.574
angles (deg): 90.00 90.00 120.00
Fractional coordinates of all 9 atoms:
Te: 0.000 0.000 0.000
Te: 0.000 0.000 0.111
Te: 0.000 0.000 0.463
Te: 0.000 0.000 0.574
Te: 0.667 0.333 0.231
Te: 0.667 0.333 0.343
Mo: 0.000 0.000 0.287
Mo: 0.667 0.333 0.056
W: 0.667 0.333 0.518